The following is a simulated powder XRD pattern of La2USe5. It was derived from DFT lattice parameters and positions (GGA-PBE), using Cu Kα, 1.54184 Å.
Lines closer than 0.1° are merged.

Cell: 12.5045 8.5531 7.9778 Å, 90.00 90.00 90.00°
Space group Pnma (No. 62)
One atom of each set of equivalent atoms:
La 0.1772 0.0000 0.0293 [8 per cell]
U 0.0091 0.2500 0.5729 [4 per cell]
Se 0.0009 0.2500 0.9554 [4 per cell]
Se 0.0910 0.5437 0.6655 [8 per cell]
Se 0.1868 0.2500 0.3352 [4 per cell]
Se 0.2151 0.7500 0.3081 [4 per cell]

Largest 10 diffraction maxima, by angle, 15° ≤ 2θ ≤ 90°:
2θ/deg  intensity
24.1  55
24.7  44
25.2  40
31.5  37
33.9  100
35.6  52
38.3  33
42.3  41
43.4  57
49.3  37